Simulated PXRD pattern of Ho6Tl3Cd for Cu Kα, 1.54184 Å, from the GGA-PBE geometry in Alexandria.
Lines closer than 0.1° are merged.

Structural model:
Cell lengths 9.373, 5.329, 11.627 Å; angles 90.00, 107.80, 90.00 degrees
Space group P2_1/m (No. 11)
Inequivalent atoms, fractional coordinates:
Ho (0.039, 0.250, 0.408) x2
Ho (0.159, 0.750, 0.180) x2
Ho (0.260, 0.250, 0.002) x2
Ho (0.345, 0.750, 0.810) x2
Ho (0.367, 0.250, 0.330) x2
Ho (0.401, 0.250, 0.620) x2
Tl (0.030, 0.750, 0.888) x2
Tl (0.128, 0.250, 0.714) x2
Tl (0.279, 0.750, 0.472) x2
Cd (0.452, 0.750, 0.105) x2

Largest 8 diffraction maxima, by intensity, 2θ = 5–70°:
2θ 33.5, rel. 100
2θ 33.3, rel. 88
2θ 33.6, rel. 54
2θ 32.4, rel. 41
2θ 47.4, rel. 29
2θ 60.1, rel. 19
2θ 59.9, rel. 16
2θ 60.3, rel. 16